Structure and theoretical X-ray diffraction stick pattern of LaMg4Cu (the GGA-PBE geometry in Alexandria; Cu Kα X-rays).
Intensities are scaled so that the largest is 100.

Principal peaks in the range 15 to 90 degrees two-theta, sorted by position:
| Position (°2θ) | I/Imax | hkl |
| --- | --- | --- |
| 16.92 | 51 | 1 1 0 |
| 20.07 | 57 | 0 0 1 |
| 26.36 | 48 | 1 1 1 |
| 28.17 | 44 | 2 0 1 |
| 29.52 | 35 | 3 0 0 |
| 33.04 | 100 | 2 1 1 |
| 35.66 | 81 | 3 1 0 |
| 35.96 | 93 | 3 0 1 |
| 40.79 | 37 | 0 0 2 |
| 55.28 | 45 | 3 1 2 |

Crystal structure
```
data_LaMg4Cu
_space_group_name_H-M_alt 'P -6 2 m'
_space_group_IT_number 189
_space_group_name_Hall 'P -6 -2'
_cell_length_a 10.4813
_cell_length_b 10.4813
_cell_length_c 4.4243
_cell_angle_alpha 90.00
_cell_angle_beta 90.00
_cell_angle_gamma 120.00
loop_
_atom_site_label
_atom_site_type_symbol
_atom_site_fract_x
_atom_site_fract_y
_atom_site_fract_z
La1 La 0.0000 0.5920 0.0000
Mg1 Mg 0.0000 0.2535 0.0000
Mg2 Mg 0.0000 0.8342 0.5000
Mg3 Mg 0.1853 0.4803 0.5000
Cu1 Cu 0.0000 0.0000 0.0000
Cu2 Cu 0.3333 0.6667 0.0000
```